The following is a computed powder X-ray diffraction pattern of KGeH2Cl8. It was derived from a cell relaxed with PBE, using Cu Kα X-rays.
Lines closer than 0.1° are merged.

Structural model:
```
data_KGeH2Cl8
_space_group_name_H-M_alt 'P -1'
_space_group_IT_number 2
_cell_length_a 6.3242
_cell_length_b 6.8000
_cell_length_c 8.7051
_cell_angle_alpha 82.82
_cell_angle_beta 85.05
_cell_angle_gamma 67.35
loop_
_space_group_symop_operation_xyz
'x,y,z'
'-x,-y,-z'
loop_
_atom_site_label
_atom_site_fract_x
_atom_site_fract_y
_atom_site_fract_z
K1 0.0000 0.0000 0.0000
Ge1 0.0000 0.0000 0.5000
H1 0.3185 0.2484 0.2074
Cl1 0.1841 0.7491 0.6941
Cl2 0.1987 0.7643 0.3240
Cl3 0.2887 0.1574 0.4771
Cl4 0.3349 0.2879 0.0571
```

Main lines, sorted by position (5 to 70 degrees two-theta):
2θ (°)  I/Imax
10.25  86
14.18  100
15.19  50
16.41  56
16.67  60
20.58  38
28.46  65
31.71  68
32.74  55
33.16  47